(1)
Cs2Tm2ZrS6: simulated X-ray diffraction stick pattern (Cu Kα), based on a PBE-relaxed structure.
Peak positions follow from Bragg's law for the DFT cell and can differ from measured ones.

Atomic structure:
Unit cell a=6.765 b=6.765 c=8.565 alpha=97.77 beta=97.77 gamma=119.81
Sites, in units of the cell vectors:
Cs 0.168 0.832 0.000
Cs 0.832 0.168 0.000
Tm 0.333 0.667 0.500
Tm 0.667 0.333 0.500
Zr 0.000 0.000 0.500
S 0.060 0.381 0.676
S 0.261 0.261 0.325
S 0.381 0.060 0.676
S 0.619 0.940 0.324
S 0.739 0.739 0.675
S 0.940 0.619 0.324

Main lines, by angle (15 to 90 degrees two-theta):
2θ = 21.5°, I 50
2θ = 27.3°, I 65
2θ = 30.0°, I 50
2θ = 30.1°, I 100
2θ = 39.4°, I 37
2θ = 39.5°, I 21
2θ = 46.4°, I 33
2θ = 56.3°, I 24

***

(2)
Ho2Er2Tm5: simulated X-ray diffraction stick pattern (Cu Kα), based on a PBE-relaxed structure.
Peak positions follow from Bragg's law for the DFT cell and can differ from measured ones.

Atomic structure:
Unit cell a=3.490 b=6.041 c=13.527 alpha=90.17 beta=97.24 gamma=106.65
Sites, in units of the cell vectors:
Ho 0.167 0.111 0.222
Ho 0.833 0.889 0.778
Er 0.500 0.334 0.667
Er 0.500 0.666 0.333
Tm 0.166 0.444 0.889
Tm 0.167 0.778 0.555
Tm 0.500 0.000 0.000
Tm 0.833 0.222 0.445
Tm 0.834 0.556 0.111

Main lines, by angle (15 to 90 degrees two-theta):
2θ = 31.4°, I 100
2θ = 36.3°, I 34
2θ = 36.5°, I 17
2θ = 52.4°, I 18
2θ = 52.5°, I 18
2θ = 62.3°, I 28
2θ = 62.5°, I 14
2θ = 85.7°, I 8

***

(3)
Cs2TlPb7: simulated X-ray diffraction stick pattern (Cu Kα), based on a PBE-relaxed structure.
Peak positions follow from Bragg's law for the DFT cell and can differ from measured ones.

Atomic structure:
Unit cell a=5.312 b=5.312 c=14.012 alpha=90.00 beta=90.00 gamma=90.00
Sites, in units of the cell vectors:
Cs 0.000 0.500 0.249
Cs 0.500 0.000 0.751
Tl 0.500 0.500 0.000
Pb 0.000 0.000 0.000
Pb 0.000 0.000 0.500
Pb 0.000 0.500 0.632
Pb 0.000 0.500 0.869
Pb 0.500 0.000 0.131
Pb 0.500 0.000 0.368
Pb 0.500 0.500 0.500

Main lines, by angle (15 to 90 degrees two-theta):
2θ = 25.4°, I 53
2θ = 26.9°, I 100
2θ = 33.7°, I 77
2θ = 35.0°, I 72
2θ = 36.2°, I 40
2θ = 48.5°, I 28
2θ = 50.3°, I 29
2θ = 61.2°, I 30

***

(4)
SmFe4Si4: simulated X-ray diffraction stick pattern (Cu Kα), based on a PBE-relaxed structure.
Peak positions follow from Bragg's law for the DFT cell and can differ from measured ones.

Atomic structure:
Unit cell a=5.936 b=5.936 c=5.936 alpha=96.78 beta=96.78 gamma=139.79
Sites, in units of the cell vectors:
Sm 0.000 0.000 0.000
Fe 0.112 0.601 0.713
Fe 0.399 0.112 0.511
Fe 0.601 0.888 0.489
Fe 0.888 0.399 0.287
Si 0.216 0.334 0.550
Si 0.334 0.784 0.118
Si 0.666 0.216 0.882
Si 0.784 0.666 0.450

Main lines, by angle (15 to 90 degrees two-theta):
2θ = 24.6°, I 47
2θ = 32.1°, I 33
2θ = 33.6°, I 100
2θ = 36.0°, I 72
2θ = 44.4°, I 37
2θ = 47.2°, I 69
2θ = 52.9°, I 30
2θ = 58.5°, I 34

***

(5)
K2CdBi4Au3: simulated X-ray diffraction stick pattern (Cu Kα), based on a PBE-relaxed structure.
Peak positions follow from Bragg's law for the DFT cell and can differ from measured ones.

Atomic structure:
Unit cell a=4.972 b=4.972 c=12.230 alpha=90.00 beta=90.00 gamma=90.00
Sites, in units of the cell vectors:
K 0.000 0.500 0.246
K 0.500 0.000 0.754
Cd 0.500 0.500 0.000
Bi 0.000 0.000 0.500
Bi 0.000 0.500 0.863
Bi 0.500 0.000 0.137
Bi 0.500 0.500 0.500
Au 0.000 0.000 0.000
Au 0.000 0.500 0.633
Au 0.500 0.000 0.367

Main lines, by angle (15 to 90 degrees two-theta):
2θ = 19.3°, I 68
2θ = 28.3°, I 29
2θ = 29.3°, I 75
2θ = 36.1°, I 69
2θ = 39.1°, I 100
2θ = 41.1°, I 24
2θ = 52.0°, I 24
2θ = 66.9°, I 37